1.
Diffraction record for ScPtF6. The PXRD pattern is calculated, not measured: it uses a crystal structure in Alexandria, relaxed with GGA-PBE and Cu Kα X-rays.
Lines closer than 0.1° are merged.

Peak list (6 most intense, 10 to 80 degrees two-theta, by angle)
2θ (°)  I_rel  hkl
19.80  806  0 2 0
20.02  470  1 1 0
23.29  1000  1 1 -1
29.57  465  1 1 1
40.65  361  2 2 0
41.28  431  1 3 1

Structural model:
```
data_ScPtF6
_chemical_formula_sum 'Sc2 Pt2 F12'
_symmetry_space_group_name_H-M 'C 1 2/m 1'
_symmetry_Int_Tables_number 12
_cell_length_a 5.295
_cell_length_b 8.968
_cell_length_c 5.308
_cell_angle_alpha 90.00
_cell_angle_beta 105.52
_cell_angle_gamma 90.00
loop_
_symmetry_equiv_pos_as_xyz
'x,y,z'
'-x,-y,-z'
'-x,y,-z'
'x,-y,z'
'x+1/2,y+1/2,z'
'-x+1/2,-y+1/2,-z'
'-x+1/2,y+1/2,-z'
'x+1/2,-y+1/2,z'
loop_
_atom_site_label
_atom_site_fract_x
_atom_site_fract_y
_atom_site_fract_z
Sc1 0.000 0.000 0.000
Pt1 0.000 0.500 0.500
F1 0.228 0.000 0.763
F2 0.236 0.355 0.746
```

2.
Diffraction record for Cs3IrBr6. The PXRD pattern is calculated, not measured: it uses a crystal structure in Alexandria, relaxed with GGA-PBE and Cu Kα X-rays.
Lines closer than 0.1° are merged.

Peak list (6 most intense, 10 to 80 degrees two-theta, by angle)
2θ (°)  I_rel  hkl
12.98  422  1 0 0
15.06  412  1 1 -1
21.21  493  1 1 1
21.37  477  2 0 -2
21.50  474  1 1 -3
30.38  1000  0 0 4

Structural model:
```
data_Cs3IrBr6
_chemical_formula_sum 'Cs6 Ir2 Br12'
_symmetry_space_group_name_H-M 'P 1 21/c 1'
_symmetry_Int_Tables_number 14
_cell_length_a 8.302
_cell_length_b 8.335
_cell_length_c 14.279
_cell_angle_alpha 90.00
_cell_angle_beta 124.45
_cell_angle_gamma 90.00
loop_
_symmetry_equiv_pos_as_xyz
'x,y,z'
'-x,-y,-z'
'-x,y+1/2,-z+1/2'
'x,-y+1/2,z+1/2'
loop_
_atom_site_label
_atom_site_fract_x
_atom_site_fract_y
_atom_site_fract_z
Cs1 0.000 0.000 0.000
Cs2 0.270 0.057 0.756
Ir1 0.500 0.000 0.500
Br1 0.219 0.006 0.293
Br2 0.295 0.668 0.042
Br3 0.374 0.248 0.036
```

3.
Diffraction record for BaTl4Hg4. The PXRD pattern is calculated, not measured: it uses a crystal structure in Alexandria, relaxed with GGA-PBE and Cu Kα X-rays.
Lines closer than 0.1° are merged.

Peak list (6 most intense, 10 to 80 degrees two-theta, by angle)
2θ (°)  I_rel  hkl
31.47  1000  3 0 1
34.47  387  3 3 0
40.28  132  0 0 2
49.55  136  6 0 0
54.04  219  3 3 2
59.89  304  6 3 1

Structural model:
```
data_BaTl4Hg4
_chemical_formula_sum 'Ba2 Tl8 Hg8'
_symmetry_space_group_name_H-M 'I 4/m m m'
_symmetry_Int_Tables_number 139
_symmetry_space_group_name_Hall '-I 4 2'
_cell_length_a 11.038
_cell_length_b 11.038
_cell_length_c 4.478
_cell_angle_alpha 90.00
_cell_angle_beta 90.00
_cell_angle_gamma 90.00
loop_
_atom_site_label
_atom_site_fract_x
_atom_site_fract_y
_atom_site_fract_z
Ba1 0.000 0.000 0.000
Tl1 0.000 0.333 0.000
Hg1 0.178 0.178 0.500
```

4.
Diffraction record for HoNiGe2Rh2. The PXRD pattern is calculated, not measured: it uses a crystal structure in Alexandria, relaxed with GGA-PBE and Cu Kα X-rays.
Lines closer than 0.1° are merged.

Peak list (6 most intense, 10 to 80 degrees two-theta, by angle)
2θ (°)  I_rel  hkl
28.62  495  1 1 0
33.07  547  1 1 1
38.80  1000  1 0 2
40.91  782  2 0 0
57.65  618  2 1 2
59.24  258  2 2 0

Structural model:
```
data_HoNiGe2Rh2
_chemical_formula_sum 'Ho1 Ni1 Ge2 Rh2'
_symmetry_space_group_name_H-M 'P 4/m m m'
_symmetry_Int_Tables_number 123
_symmetry_space_group_name_Hall '-P 4 2'
_cell_length_a 4.412
_cell_length_b 4.412
_cell_length_c 5.458
_cell_angle_alpha 90.00
_cell_angle_beta 90.00
_cell_angle_gamma 90.00
loop_
_atom_site_label
_atom_site_fract_x
_atom_site_fract_y
_atom_site_fract_z
Ho1 0.000 0.000 0.000
Ni1 0.000 0.000 0.500
Ge1 0.000 0.500 0.500
Rh1 0.500 0.500 0.241
```